[1]
For Rb3Cu3Bi8Se15, a cell relaxed with GGA-PBE gives the theoretical X-ray powder pattern in this record (Cu Kα (λ = 1.5418 Å)).
Intensities are scaled so that the largest is 100.

Top 6 peaks for 2θ = 10–80°, low angle first:
hkl 0 2 0, 2θ = 12.25°, I = 55; hkl 3 3 -2, 2θ = 28.36°, I = 73; hkl 3 3 -3, 2θ = 29.58°, I = 100; hkl 0 2 6, 2θ = 31.36°, I = 53; hkl 3 3 2, 2θ = 31.51°, I = 64; hkl 6 0 -2, 2θ = 42.42°, I = 75

Cell and atoms:
Unit cell a=12.790 b=14.451 c=19.126 alpha=90.00 beta=103.11 gamma=90.00
Space group C2/c (No. 15)
Unique sites:
1 Rb 0.000 0.223 0.250 (multiplicity 4)
2 Rb 0.167 0.280 0.747 (multiplicity 8)
3 Cu 0.000 0.040 0.750 (multiplicity 4)
4 Cu 0.169 0.454 0.260 (multiplicity 8)
5 Bi 0.054 0.473 0.403 (multiplicity 8)
6 Bi 0.074 0.253 0.000 (multiplicity 8)
7 Bi 0.119 0.031 0.595 (multiplicity 8)
8 Bi 0.217 0.023 0.901 (multiplicity 8)
9 Se 0.000 0.461 0.750 (multiplicity 4)
10 Se 0.040 0.148 0.860 (multiplicity 8)
11 Se 0.061 0.113 0.454 (multiplicity 8)
12 Se 0.092 0.387 0.547 (multiplicity 8)
13 Se 0.132 0.351 0.139 (multiplicity 8)
14 Se 0.169 0.038 0.254 (multiplicity 8)
15 Se 0.204 0.347 0.363 (multiplicity 8)
16 Se 0.233 0.382 0.952 (multiplicity 8)

---

[2]
For MgZn2Co4S8, a cell relaxed with GGA-PBE gives the theoretical X-ray powder pattern in this record (Cu Kα (λ = 1.5418 Å)).
Intensities are scaled so that the largest is 100.

Top 6 peaks for 2θ = 10–80°, low angle first:
hkl 1 1 0, 2θ = 15.71°, I = 42; hkl 2 2 -2, 2θ = 36.78°, I = 100; hkl 4 0 0, 2θ = 37.05°, I = 49; hkl 2 2 2, 2θ = 52.81°, I = 46; hkl 4 0 -4, 2θ = 53.16°, I = 15; hkl 6 2 -2, 2θ = 53.61°, I = 30

Cell and atoms:
Unit cell a=11.793 b=6.930 c=6.893 alpha=90.00 beta=124.61 gamma=90.00
Space group C2/m (No. 12)
Unique sites:
1 Mg 0.000 0.000 0.000 (multiplicity 2)
2 Zn 0.250 0.250 0.500 (multiplicity 4)
3 Co 0.000 0.500 0.000 (multiplicity 2)
4 Co 0.000 0.500 0.500 (multiplicity 2)
5 Co 0.250 0.250 0.000 (multiplicity 4)
6 S 0.008 0.281 0.764 (multiplicity 8)
7 S 0.232 0.500 0.209 (multiplicity 4)
8 S 0.235 0.500 0.766 (multiplicity 4)

---

[3]
For VIr, a cell relaxed with GGA-PBE gives the theoretical X-ray powder pattern in this record (Cu Kα (λ = 1.5418 Å)).
Intensities are scaled so that the largest is 100.

Top 6 peaks for 2θ = 10–80°, low angle first:
hkl 2 0 0, 2θ = 24.77°, I = 60; hkl 0 0 4, 2θ = 32.02°, I = 36; hkl 2 0 4, 2θ = 40.90°, I = 98; hkl 2 4 0, 2θ = 41.03°, I = 100; hkl 0 4 4, 2θ = 46.03°, I = 73; hkl 2 4 4, 2θ = 52.97°, I = 35

Cell and atoms:
Unit cell a=7.188 b=11.127 c=11.179 alpha=90.00 beta=90.00 gamma=90.00
Space group Immm (No. 71)
Unique sites:
1 V 0.000 0.116 0.000 (multiplicity 4)
2 V 0.000 0.119 0.270 (multiplicity 8)
3 V 0.000 0.120 0.500 (multiplicity 4)
4 V 0.000 0.368 0.000 (multiplicity 4)
5 V 0.000 0.369 0.273 (multiplicity 8)
6 V 0.000 0.370 0.500 (multiplicity 4)
7 Ir 0.223 0.500 0.127 (multiplicity 8)
8 Ir 0.232 0.250 0.127 (multiplicity 16)
9 Ir 0.243 0.000 0.127 (multiplicity 8)

---

[4]
For Ho3ReO8, a cell relaxed with GGA-PBE gives the theoretical X-ray powder pattern in this record (Cu Kα (λ = 1.5418 Å)).
Intensities are scaled so that the largest is 100.

Top 6 peaks for 2θ = 10–80°, low angle first:
hkl 0 2 0, 2θ = 28.42°, I = 45; hkl 2 1 -1, 2θ = 28.82°, I = 22; hkl 0 1 2, 2θ = 30.34°, I = 100; hkl 2 2 -2, 2θ = 41.80°, I = 16; hkl 2 0 2, 2θ = 45.04°, I = 18; hkl 0 3 2, 2θ = 51.54°, I = 26

Cell and atoms:
Unit cell a=7.182 b=6.280 c=7.198 alpha=90.00 beta=111.87 gamma=90.00
Space group P2_1/m (No. 11)
Unique sites:
1 Ho 0.095 0.250 0.406 (multiplicity 2)
2 Ho 0.172 0.250 0.892 (multiplicity 2)
3 Ho 0.391 0.750 0.663 (multiplicity 2)
4 Re 0.317 0.750 0.177 (multiplicity 2)
5 O 0.068 0.750 0.955 (multiplicity 2)
6 O 0.153 0.750 0.340 (multiplicity 2)
7 O 0.172 0.000 0.670 (multiplicity 4)
8 O 0.314 0.051 0.188 (multiplicity 4)
9 O 0.459 0.250 0.575 (multiplicity 2)
10 O 0.470 0.750 0.020 (multiplicity 2)

---

[5]
For NaF3, a cell relaxed with GGA-PBE gives the theoretical X-ray powder pattern in this record (Cu Kα (λ = 1.5418 Å)).
Intensities are scaled so that the largest is 100.

Top 6 peaks for 2θ = 10–80°, low angle first:
hkl 1 0 1, 2θ = 29.10°, I = 1; hkl 0 0 4, 2θ = 40.01°, I = 35; hkl 1 1 2, 2θ = 44.08°, I = 100; hkl 2 0 0, 2θ = 56.38°, I = 21; hkl 2 0 4, 2θ = 71.36°, I = 17; hkl 1 1 6, 2θ = 75.51°, I = 14

Cell and atoms:
Unit cell a=3.264 b=3.264 c=9.014 alpha=90.00 beta=90.00 gamma=90.00
Space group I4/mmm (No. 139)
Unique sites:
1 Na 0.000 0.000 0.000 (multiplicity 2)
2 F 0.000 0.000 0.500 (multiplicity 2)
3 F 0.000 0.500 0.250 (multiplicity 4)